[1]
This entry pairs a crystal structure of Th4SbSe5 with its theoretical PXRD pattern. Radiation: Cu Kα. Structure: DFT lattice parameters and positions (GGA-PBE).

Top 10 peaks for 2θ = 10–90°, in order of rising 2θ:
- 2θ = 21.8°, intensity 100
- 2θ = 22.9°, intensity 87
- 2θ = 29.6°, intensity 21
- 2θ = 32.7°, intensity 40
- 2θ = 35.8°, intensity 32
- 2θ = 36.8°, intensity 89
- 2θ = 38.5°, intensity 20
- 2θ = 42.9°, intensity 51
- 2θ = 44.1°, intensity 19
- 2θ = 53.6°, intensity 22

Cell and atoms:
```
Th4SbSe5
1.0
9.3466 0.0000 0.0000
0.0000 10.0384 0.0000
0.0000 0.0000 6.9597
Th Sb Se
8 2 10
Direct
0.0405 0.2500 0.0164
0.2500 0.0208 0.5748
0.2500 0.4792 0.5748
0.4595 0.2500 0.0164
0.5405 0.7500 0.9836
0.7500 0.5208 0.4252
0.7500 0.9792 0.4252
0.9595 0.7500 0.9836
0.2500 0.7500 0.7772
0.7500 0.2500 0.2228
0.0385 0.5397 0.2502
0.0385 0.9603 0.2502
0.2500 0.2500 0.3254
0.4615 0.5397 0.2502
0.4615 0.9603 0.2502
0.5385 0.0397 0.7498
0.5385 0.4603 0.7498
0.7500 0.7500 0.6746
0.9615 0.0397 0.7498
0.9615 0.4603 0.7498
```

[2]
This entry pairs a crystal structure of Th5Sb4Se with its theoretical PXRD pattern. Radiation: Cu Kα. Structure: DFT lattice parameters and positions (GGA-PBE).

Top 10 peaks for 2θ = 10–90°, in order of rising 2θ:
- 2θ = 24.5°, intensity 20
- 2θ = 28.3°, intensity 100
- 2θ = 40.5°, intensity 76
- 2θ = 47.9°, intensity 10
- 2θ = 50.2°, intensity 27
- 2θ = 58.6°, intensity 13
- 2θ = 66.4°, intensity 24
- 2θ = 66.4°, intensity 10
- 2θ = 73.7°, intensity 25
- 2θ = 87.7°, intensity 8

Cell and atoms:
```
Th5Sb4Se
1.0
-2.2265 2.2265 15.7345
2.2265 -2.2265 15.7345
2.2265 2.2265 -15.7345
Th Sb Se
5 4 1
Direct
0.0000 0.0000 0.0000
0.2021 0.2021 0.0000
0.4055 0.4055 0.0000
0.5945 0.5945 0.0000
0.7979 0.7979 0.0000
0.1008 0.1008 0.0000
0.3035 0.3035 0.0000
0.6965 0.6965 0.0000
0.8992 0.8992 0.0000
0.5000 0.5000 0.0000
```

[3]
This entry pairs a crystal structure of ThZrSbSe with its theoretical PXRD pattern. Radiation: Cu Kα. Structure: DFT lattice parameters and positions (GGA-PBE).

Top 10 peaks for 2θ = 10–90°, in order of rising 2θ:
- 2θ = 21.2°, intensity 15
- 2θ = 24.5°, intensity 6
- 2θ = 34.9°, intensity 100
- 2θ = 41.2°, intensity 9
- 2θ = 50.2°, intensity 18
- 2θ = 55.0°, intensity 4
- 2θ = 62.6°, intensity 37
- 2θ = 73.7°, intensity 11
- 2θ = 77.7°, intensity 3
- 2θ = 84.2°, intensity 16

Cell and atoms:
```
ThZrSbSe
1.0
0.0000 3.6371 3.6371
3.6371 0.0000 3.6371
3.6371 3.6371 0.0000
Th Zr Sb Se
1 1 1 1
Direct
0.0000 0.0000 0.0000
0.5000 0.5000 0.5000
0.2500 0.2500 0.2500
0.7500 0.7500 0.7500
```

[4]
This entry pairs a crystal structure of Tl2SbSe3 with its theoretical PXRD pattern. Radiation: Cu Kα. Structure: DFT lattice parameters and positions (GGA-PBE).

Top 10 peaks for 2θ = 10–90°, in order of rising 2θ:
- 2θ = 24.1°, intensity 81
- 2θ = 25.3°, intensity 100
- 2θ = 27.2°, intensity 64
- 2θ = 28.1°, intensity 53
- 2θ = 28.4°, intensity 36
- 2θ = 30.0°, intensity 64
- 2θ = 32.0°, intensity 40
- 2θ = 32.2°, intensity 50
- 2θ = 38.2°, intensity 70
- 2θ = 43.3°, intensity 36

Cell and atoms:
```
Tl2SbSe3
1.0
6.3261 -4.2799 0.0000
6.3261 4.2799 0.0000
-1.0246 0.0000 7.2938
Tl Sb Se
4 2 6
Direct
0.0072 0.3015 0.1592
0.3015 0.0072 0.6592
0.6985 0.9928 0.3408
0.9928 0.6985 0.8408
0.4286 0.5714 0.2500
0.5714 0.4286 0.7500
0.1278 0.8722 0.2500
0.3124 0.3764 0.4829
0.3764 0.3124 0.9829
0.6236 0.6876 0.0171
0.6876 0.6236 0.5171
0.8722 0.1278 0.7500
```

[5]
This entry pairs a crystal structure of Tl8Sb3Se8 with its theoretical PXRD pattern. Radiation: Cu Kα. Structure: DFT lattice parameters and positions (GGA-PBE).

Top 10 peaks for 2θ = 10–90°, in order of rising 2θ:
- 2θ = 19.8°, intensity 57
- 2θ = 21.4°, intensity 41
- 2θ = 24.1°, intensity 99
- 2θ = 24.5°, intensity 45
- 2θ = 25.3°, intensity 56
- 2θ = 30.7°, intensity 86
- 2θ = 31.5°, intensity 61
- 2θ = 32.0°, intensity 59
- 2θ = 34.8°, intensity 100
- 2θ = 38.7°, intensity 59

Cell and atoms:
```
Tl8Sb3Se8
1.0
12.5219 -2.5767 0.0000
12.5219 2.5767 0.0000
-1.7276 0.0000 10.4259
Tl Sb Se
8 3 8
Direct
0.0505 0.0505 0.3584
0.2459 0.2459 0.8529
0.3762 0.3762 0.3724
0.4185 0.4185 0.9788
0.5815 0.5815 0.0212
0.6238 0.6238 0.6276
0.7541 0.7541 0.1471
0.9495 0.9495 0.6416
0.2175 0.2175 0.3268
0.5000 0.5000 0.5000
0.7825 0.7825 0.6732
0.1280 0.1280 0.1688
0.1838 0.1838 0.5436
0.3190 0.3190 0.1137
0.4985 0.4985 0.2283
0.5015 0.5015 0.7717
0.6810 0.6810 0.8863
0.8162 0.8162 0.4564
0.8720 0.8720 0.8312
```